Record 1
This entry pairs a crystal structure of Tm2In2Ga6Co with its simulated X-ray powder pattern. Radiation: Cu Kα X-rays. Structure: a crystal structure in OQMD, relaxed with GGA-PBE.
Kinematic intensities with the Lorentz-polarization factor, no thermal factor.

Top 6 peaks for 10° ≤ 2θ ≤ 90°, by angle:
2θ (°)  I_rel
33.42  90
37.88  100
39.37  29
42.11  66
59.01  34
74.16  26

Atomic structure:
```
Tm2In2Ga6Co
1.0
4.2917 0.0000 0.0000
0.0000 4.2917 0.0000
0.0000 0.0000 11.4435
Tm In Ga Co
2 2 6 1
direct
0.0000 0.0000 0.2107
0.0000 0.0000 0.7893
0.0000 0.5000 0.0000
0.5000 0.0000 0.0000
0.0000 0.5000 0.3874
0.0000 0.5000 0.6126
0.5000 0.0000 0.3874
0.5000 0.0000 0.6126
0.5000 0.5000 0.2077
0.5000 0.5000 0.7923
0.0000 0.0000 0.5000
```



Record 2
This entry pairs a crystal structure of Tb2NdCu4Sn2Ge2 with its simulated X-ray powder pattern. Radiation: Cu Kα X-rays. Structure: a crystal structure in OQMD, relaxed with GGA-PBE.
Kinematic intensities with the Lorentz-polarization factor, no thermal factor.

Top 6 peaks for 10° ≤ 2θ ≤ 90°, by angle:
2θ (°)  I_rel
33.43  28
34.02  72
34.67  100
41.37  34
44.15  17
78.28  14

Atomic structure:
```
Tb2NdCu4Sn2Ge2
1.0
-2.1825 3.3935 7.2951
2.1825 -3.3935 7.2951
2.1825 3.3935 -7.2951
Tb Nd Cu Sn Ge
2 1 4 2 2
direct
0.1250 0.1250 0.0000
0.8750 0.8750 0.0000
0.5000 0.0000 0.5000
0.1503 0.3401 0.8102
0.4702 0.6599 0.8102
0.5298 0.3401 0.1898
0.8497 0.6599 0.1898
0.2807 0.7807 0.5000
0.7193 0.2193 0.5000
0.1873 0.5000 0.6873
0.8127 0.5000 0.3127
```



Record 3
This entry pairs a crystal structure of SrNd2Te3 with its simulated X-ray powder pattern. Radiation: Cu Kα X-rays. Structure: a crystal structure in OQMD, relaxed with GGA-PBE.
Kinematic intensities with the Lorentz-polarization factor, no thermal factor.

Top 6 peaks for 10° ≤ 2θ ≤ 90°, by angle:
2θ (°)  I_rel
27.58  100
39.39  74
48.72  21
64.34  18
64.47  15
71.38  19

Atomic structure:
```
SrNd2Te3
1.0
4.5800 0.0000 0.0000
-2.2900 3.9664 0.0000
0.0000 0.0000 11.1798
Sr Nd Te
1 2 3
direct
0.0000 0.0000 0.0000
0.3333 0.6667 0.6507
0.6667 0.3333 0.3493
0.0000 0.0000 0.5000
0.3333 0.6667 0.1776
0.6667 0.3333 0.8224
```



Record 4
This entry pairs a crystal structure of YHo2Si4Au4 with its simulated X-ray powder pattern. Radiation: Cu Kα X-rays. Structure: a crystal structure in OQMD, relaxed with GGA-PBE.
Kinematic intensities with the Lorentz-polarization factor, no thermal factor.

Top 6 peaks for 10° ≤ 2θ ≤ 90°, by angle:
2θ (°)  I_rel
21.30  15
33.15  24
33.56  100
42.79  20
43.89  19
45.25  15

Atomic structure:
```
YHo2Si4Au4
1.0
-2.0629 2.1134 12.5189
2.0629 -2.1134 12.5189
2.0629 2.1134 -12.5189
Y Ho Si Au
1 2 4 4
direct
0.0000 0.0000 0.0000
0.3525 0.8525 0.5000
0.6475 0.1475 0.5000
0.1896 0.6896 0.5000
0.4532 0.4532 0.0000
0.5468 0.5468 0.0000
0.8104 0.3104 0.5000
0.0937 0.5937 0.5000
0.2521 0.2521 0.0000
0.7479 0.7479 0.0000
0.9063 0.4063 0.5000
```



Record 5
This entry pairs a crystal structure of CuAg3 with its simulated X-ray powder pattern. Radiation: Cu Kα X-rays. Structure: a crystal structure in OQMD, relaxed with GGA-PBE.
Kinematic intensities with the Lorentz-polarization factor, no thermal factor.

Top 6 peaks for 10° ≤ 2θ ≤ 90°, by angle:
2θ (°)  I_rel
38.52  100
38.72  99
44.90  95
65.30  19
78.36  17
78.72  17

Atomic structure:
```
CuAg3
1.0
4.9298 0.0000 0.0000
-0.8117 4.8780 0.0000
-1.6726 -0.2872 5.4747
Cu Ag
2 6
direct
0.0004 0.2487 0.3806
0.9996 0.7513 0.6194
0.0007 0.7484 0.1335
0.4916 0.5060 0.7428
0.5000 0.0000 0.0000
0.5000 0.0000 0.5000
0.5084 0.4940 0.2572
0.9993 0.2516 0.8665
```